# PmCrO5
Simulated powder X-ray diffraction pattern, λ = 1.5418 Å (Cu Kα). Input: a DFT-relaxed cell (PBE+U, Alexandria).
Kinematic intensities with the Lorentz-polarization factor, no thermal factor.

Peak list (10 most intense, 10 to 90 degrees two-theta, in order of rising 2θ)
| hkl | d [Å] | intensity |
| --- | --- | --- |
| 1 1 0 | 5.240 | 26 |
| 1 0 1 | 3.914 | 95 |
| 2 0 0 | 3.705 | 100 |
| 2 1 1 | 2.691 | 29 |
| 2 2 0 | 2.620 | 22 |
| 3 1 0 | 2.343 | 18 |
| 3 0 1 | 2.177 | 32 |
| 1 1 2 | 2.110 | 29 |
| 3 2 1 | 1.877 | 22 |
| 3 1 2 | 1.643 | 36 |

Structural model:
a b c (Å): 7.4102 7.4102 4.6098
angles (deg): 90.00 90.00 90.00
Space group P4/nmm (No. 129, origin choice 2)
Unique sites:
Pm (0.2500, 0.2500, 0.2408) x2
Cr (0.2500, 0.7500, 0.5000) x2
O (0.0667, 0.7500, 0.7081) x8
O (0.2500, 0.2500, 0.7438) x2